Entry 1:
# NbVN2
Computed PXRD pattern, Cu Kα X-rays. Input: DFT lattice parameters and positions (GGA-PBE).

The 6 most intense peaks (2θ from 10° to 80°), sorted by position:
(hkl)	Position (°2θ)	d [Å]	I_rel
0 1 2	36.1	2.487	75
0 0 6	36.3	2.476	25
1 0 4	42.0	2.151	100
1 1 0	60.8	1.524	30
0 1 8	61.0	1.519	29
1 1 6	72.9	1.298	20

```
data_NbVN2
_cell_length_a 3.0474
_cell_length_b 3.0474
_cell_length_c 14.8537
_cell_angle_alpha 90.00
_cell_angle_beta 90.00
_cell_angle_gamma 120.00
_space_group_name_H-M_alt 'R -3 m'
_space_group_IT_number 166
_space_group_name_Hall '-R 3 2"'
loop_
_atom_site_label
_atom_site_fract_x
_atom_site_fract_y
_atom_site_fract_z
Nb1 0.0000 0.0000 0.0000
V1 0.0000 0.0000 0.5000
N1 0.0000 0.0000 0.2432
```

Entry 2:
# Nb3Zn3N
Computed PXRD pattern, Cu Kα X-rays. Input: DFT lattice parameters and positions (GGA-PBE).

The 6 most intense peaks (2θ from 10° to 80°), sorted by position:
(hkl)	Position (°2θ)	d [Å]	I_rel
3 3 1	33.3	2.692	15
4 2 2	37.5	2.396	41
3 3 3	39.9	2.259	100
4 4 0	43.6	2.075	18
4 4 2	46.4	1.956	8
6 6 0	67.7	1.383	37

a b c (Å): 11.7363 11.7363 11.7363
angles (deg): 90.00 90.00 90.00
Space group Fd-3m (No. 227, origin choice 2)
One atom of each set of equivalent atoms:
1 Nb 0.0562 0.3750 0.3750 x48
2 Zn 0.0000 0.0000 0.5000 x16
3 Zn 0.0427 0.0427 0.7073 x32
4 N 0.0000 0.0000 0.0000 x16

Entry 3:
# NdN
Computed PXRD pattern, Cu Kα X-rays. Input: DFT lattice parameters and positions (GGA-PBE).

The 6 most intense peaks (2θ from 10° to 80°), sorted by position:
(hkl)	Position (°2θ)	d [Å]	I_rel
1 0 0	28.5	3.129	89
1 1 0	40.8	2.213	100
1 1 1	50.5	1.807	26
2 0 0	59.0	1.565	16
2 1 0	66.8	1.400	34
2 1 1	74.2	1.278	33

```
data_NdN
_cell_length_a 3.1295
_cell_length_b 3.1295
_cell_length_c 3.1295
_cell_angle_alpha 90.00
_cell_angle_beta 90.00
_cell_angle_gamma 90.00
_space_group_name_H-M_alt 'P m -3 m'
_space_group_IT_number 221
_space_group_name_Hall '-P 4 2 3'
loop_
_atom_site_label
_atom_site_fract_x
_atom_site_fract_y
_atom_site_fract_z
Nd1 0.0000 0.0000 0.0000
N1 0.5000 0.5000 0.5000
```

Entry 4:
# NdN2
Computed PXRD pattern, Cu Kα X-rays. Input: DFT lattice parameters and positions (GGA-PBE).

The 6 most intense peaks (2θ from 10° to 80°), sorted by position:
(hkl)	Position (°2θ)	d [Å]	I_rel
1 1 0	19.9	4.464	57
2 0 1	27.4	3.253	36
1 1 1	27.8	3.209	37
2 0 -2	28.8	3.097	100
0 2 0	36.8	2.441	32
5 1 0	45.1	2.009	31

```
data_NdN2
_cell_length_a 12.3256
_cell_length_b 4.8827
_cell_length_c 6.2183
_cell_angle_alpha 90.00
_cell_angle_beta 116.60
_cell_angle_gamma 90.00
_space_group_name_H-M_alt 'C 1 m 1'
_space_group_IT_number 8
_space_group_name_Hall 'C -2y'
loop_
_atom_site_label
_atom_site_fract_x
_atom_site_fract_y
_atom_site_fract_z
Nd1 0.0000 0.0000 0.0000
Nd2 0.0942 0.5000 0.6463
Nd3 0.3162 0.5000 0.4021
N1 0.0240 0.0000 0.6585
N2 0.0628 0.5000 0.2166
N3 0.0746 0.5000 0.0269
N4 0.2500 0.0000 0.2545
N5 0.2976 0.5000 0.7440
N6 0.3584 0.0000 0.3390
```

Entry 5:
# NdN
Computed PXRD pattern, Cu Kα X-rays. Input: DFT lattice parameters and positions (GGA-PBE).

The 6 most intense peaks (2θ from 10° to 80°), sorted by position:
(hkl)	Position (°2θ)	d [Å]	I_rel
1 1 1	30.0	2.982	100
2 0 0	34.7	2.583	75
2 2 0	49.9	1.826	52
3 1 1	59.3	1.557	46
2 2 2	62.3	1.491	18
4 0 0	73.3	1.291	8

```
data_NdN
_cell_length_a 5.1652
_cell_length_b 5.1652
_cell_length_c 5.1652
_cell_angle_alpha 90.00
_cell_angle_beta 90.00
_cell_angle_gamma 90.00
_space_group_name_H-M_alt 'F m -3 m'
_space_group_IT_number 225
_space_group_name_Hall '-F 4 2 3'
loop_
_atom_site_label
_atom_site_fract_x
_atom_site_fract_y
_atom_site_fract_z
Nd1 0.0000 0.0000 0.0000
N1 0.0000 0.0000 0.5000
```

Entry 6:
# NdS3N3O12
Computed PXRD pattern, Cu Kα X-rays. Input: DFT lattice parameters and positions (GGA-PBE).

The 6 most intense peaks (2θ from 10° to 80°), sorted by position:
(hkl)	Position (°2θ)	d [Å]	I_rel
0 1 2	12.6	7.016	100
1 1 0	17.0	5.223	81
2 0 2	21.2	4.190	53
0 1 5	22.3	3.990	23
1 0 7	29.8	2.996	22
0 3 3	32.0	2.793	22

```
data_NdS3N3O12
_cell_length_a 10.4468
_cell_length_b 10.4468
_cell_length_c 22.2285
_cell_angle_alpha 90.00
_cell_angle_beta 90.00
_cell_angle_gamma 120.00
_space_group_name_H-M_alt 'R 3 2'
_space_group_IT_number 155
_space_group_name_Hall 'R 3 2"'
loop_
_atom_site_label
_atom_site_fract_x
_atom_site_fract_y
_atom_site_fract_z
Nd1 0.0000 0.0000 0.2064
S1 0.0879 0.9082 0.6423
N1 0.0833 0.1702 0.3752
O1 0.0206 0.5128 0.2747
O2 0.0692 0.9185 0.8885
O3 0.0712 0.8298 0.1765
O4 0.0953 0.9030 0.7085
```

Entry 7:
# NdZrNO2
Computed PXRD pattern, Cu Kα X-rays. Input: DFT lattice parameters and positions (GGA-PBE).

The 6 most intense peaks (2θ from 10° to 80°), sorted by position:
(hkl)	Position (°2θ)	d [Å]	I_rel
0 2 0	30.0	2.978	45
1 1 1	30.5	2.931	100
1 1 -3	30.8	2.905	100
2 0 -2	31.0	2.883	45
2 2 -2	43.7	2.071	42
2 0 -6	55.2	1.664	34

```
data_NdZrNO2
_cell_length_a 5.7662
_cell_length_b 5.9550
_cell_length_c 9.9856
_cell_angle_alpha 90.00
_cell_angle_beta 124.57
_cell_angle_gamma 90.00
_space_group_name_H-M_alt 'P 1 21/c 1'
_space_group_IT_number 14
_space_group_name_Hall '-P 2ybc'
loop_
_atom_site_label
_atom_site_fract_x
_atom_site_fract_y
_atom_site_fract_z
Nd1 0.2207 0.0511 0.2419
Zr1 0.0000 0.0000 0.5000
Zr2 0.5000 0.0000 0.0000
N1 0.1453 0.2044 0.9415
O1 0.2270 0.7071 0.9335
O2 0.3663 0.0412 0.7501
```

Entry 8:
# Nd3S3N
Computed PXRD pattern, Cu Kα X-rays. Input: DFT lattice parameters and positions (GGA-PBE).

The 6 most intense peaks (2θ from 10° to 80°), sorted by position:
(hkl)	Position (°2θ)	d [Å]	I_rel
3 0 2	25.7	3.472	100
2 1 0	26.4	3.371	58
1 1 2	26.9	3.313	74
0 0 4	27.1	3.293	72
3 1 1	31.9	2.805	38
2 1 4	38.2	2.356	63

```
data_Nd3S3N
_cell_length_a 12.2575
_cell_length_b 4.0358
_cell_length_c 13.1738
_cell_angle_alpha 90.00
_cell_angle_beta 90.00
_cell_angle_gamma 90.00
_space_group_name_H-M_alt 'P n m a'
_space_group_IT_number 62
_space_group_name_Hall '-P 2ac 2n'
loop_
_atom_site_label
_atom_site_fract_x
_atom_site_fract_y
_atom_site_fract_z
Nd1 0.0403 0.2500 0.1486
Nd2 0.0828 0.2500 0.6282
Nd3 0.2220 0.2500 0.8663
S1 0.0812 0.2500 0.3932
S2 0.1392 0.7500 0.9960
S3 0.2310 0.7500 0.6980
N1 0.0464 0.2500 0.7983
```

Entry 9:
# Nd4Se3N2
Computed PXRD pattern, Cu Kα X-rays. Input: DFT lattice parameters and positions (GGA-PBE).

The 6 most intense peaks (2θ from 10° to 80°), sorted by position:
(hkl)	Position (°2θ)	d [Å]	I_rel
2 2 1	26.0	3.429	97
4 0 0	27.0	3.297	100
0 0 2	27.4	3.250	66
1 3 -1	30.4	2.943	83
2 0 -2	30.6	2.918	57
0 4 0	35.2	2.553	83

```
data_Nd4Se3N2
_cell_length_a 13.1795
_cell_length_b 10.2289
_cell_length_c 6.4991
_cell_angle_alpha 90.00
_cell_angle_beta 90.20
_cell_angle_gamma 90.00
_space_group_name_H-M_alt 'C 1 2/c 1'
_space_group_IT_number 15
_space_group_name_Hall '-C 2yc'
loop_
_atom_site_label
_atom_site_fract_x
_atom_site_fract_y
_atom_site_fract_z
Nd1 0.1267 0.1838 0.4701
Nd2 0.1651 0.4205 0.9278
Se1 0.0000 0.4034 0.2500
Se2 0.1152 0.1312 0.9647
N1 0.2056 0.3762 0.5852
```

Entry 10:
# Nd3Se3N
Computed PXRD pattern, Cu Kα X-rays. Input: DFT lattice parameters and positions (GGA-PBE).

The 6 most intense peaks (2θ from 10° to 80°), sorted by position:
(hkl)	Position (°2θ)	d [Å]	I_rel
2 1 0	25.6	3.478	49
0 0 4	26.4	3.374	83
1 1 3	30.1	2.968	52
3 1 1	30.9	2.898	92
2 1 4	37.1	2.422	100
0 2 0	43.6	2.077	60

```
data_Nd3Se3N
_cell_length_a 12.7226
_cell_length_b 4.1535
_cell_length_c 13.5050
_cell_angle_alpha 90.00
_cell_angle_beta 90.00
_cell_angle_gamma 90.00
_space_group_name_H-M_alt 'P n m a'
_space_group_IT_number 62
_space_group_name_Hall '-P 2ac 2n'
loop_
_atom_site_label
_atom_site_fract_x
_atom_site_fract_y
_atom_site_fract_z
Nd1 0.0287 0.2500 0.1549
Nd2 0.0868 0.2500 0.6315
Nd3 0.2211 0.2500 0.8680
Se1 0.0789 0.2500 0.3923
Se2 0.1376 0.7500 0.0022
Se3 0.2378 0.7500 0.6982
N1 0.0546 0.2500 0.7975
```

Entry 11:
# NdSi3N5
Computed PXRD pattern, Cu Kα X-rays. Input: DFT lattice parameters and positions (GGA-PBE).

The 6 most intense peaks (2θ from 10° to 80°), sorted by position:
(hkl)	Position (°2θ)	d [Å]	I_rel
1 0 1	20.1	4.421	39
1 2 1	30.4	2.938	70
1 1 3	32.3	2.774	100
0 1 4	33.7	2.659	30
1 3 2	42.5	2.129	34
2 1 4	51.2	1.783	32

```
data_NdSi3N5
_cell_length_a 4.8031
_cell_length_b 7.8622
_cell_length_c 11.3030
_cell_angle_alpha 90.00
_cell_angle_beta 90.00
_cell_angle_gamma 90.00
_space_group_name_H-M_alt 'P 21 21 21'
_space_group_IT_number 19
_space_group_name_Hall 'P 2ac 2ab'
loop_
_atom_site_label
_atom_site_fract_x
_atom_site_fract_y
_atom_site_fract_z
Nd1 0.0030 0.0602 0.1707
Si1 0.0145 0.1621 0.8389
Si2 0.0167 0.2929 0.5833
Si3 0.0240 0.4669 0.0411
N1 0.0470 0.3429 0.9196
N2 0.1687 0.2062 0.7051
N3 0.1694 0.3884 0.1686
N4 0.1845 0.9815 0.9068
N5 0.2053 0.6494 0.9890
```